Simulated powder diffraction line list
Compound: FeH10S2N4O8
Radiation: Cu Ka
Structure: the GGA+U geometry in Alexandria

Top 8 peaks for 10 to 80 degrees two-theta, low angle first:
h k l  2theta  Rel. int.
0 0 1  12.2  81
0 1 0  15.1  43
0 1 -1  18.9  100
-1 1 1  22.6  74
1 1 0  24.5  99
0 1 -2  28.1  44
-1 1 2  29.6  42
1 1 1  29.9  45

Atomic structure:
a b c (Å): 5.420 5.923 7.569
angles (deg): 91.31 105.49 97.31
Element x y z (fractional)
Fe 0.000 0.000 0.000
H 0.083 0.919 0.366
H 0.109 0.307 0.743
H 0.247 0.549 0.198
H 0.284 0.608 0.427
H 0.435 0.792 0.305
H 0.565 0.208 0.695
H 0.716 0.392 0.573
H 0.753 0.451 0.802
H 0.891 0.693 0.257
H 0.917 0.081 0.634
S 0.383 0.765 0.778
S 0.617 0.235 0.222
N 0.052 0.807 0.254
N 0.267 0.677 0.299
N 0.733 0.323 0.701
N 0.948 0.193 0.746
O 0.234 0.762 0.918
O 0.294 0.552 0.656
O 0.335 0.234 0.129
O 0.343 0.967 0.665
O 0.657 0.033 0.335
O 0.665 0.766 0.871
O 0.706 0.448 0.344
O 0.766 0.238 0.082